Theoretical powder diffraction line list
Compound: U3Ga2Ge3
Radiation: λ = 1.5418 Å (Cu Kα)
Structure: a crystal structure in Alexandria, relaxed with PBE
Peak positions follow from Bragg's law for the DFT cell and can differ from measured ones.

Largest 8 diffraction maxima, low angle first, 2θ from 10° to 90°:
2θ = 22.8°, I = 22.3; 2θ = 27.0°, I = 42.1; 2θ = 32.2°, I = 25.8; 2θ = 35.5°, I = 100.0; 2θ = 36.7°, I = 74.5; 2θ = 49.7°, I = 34.0; 2θ = 52.9°, I = 20.9; 2θ = 70.3°, I = 20.9

Structure:
a b c (Å): 7.797 7.797 7.797
angles (deg): 120.50 120.50 89.13
Fractional positions:
U 0.000 0.000 0.000
U 0.118 0.618 0.192
U 0.426 0.926 0.808
U 0.500 0.500 0.000
U 0.618 0.426 0.500
U 0.926 0.118 0.500
Ga 0.228 0.444 0.500
Ga 0.444 0.944 0.216
Ga 0.728 0.228 0.784
Ga 0.944 0.728 0.500
Ge 0.105 0.605 0.797
Ge 0.250 0.250 0.000
Ge 0.308 0.105 0.500
Ge 0.605 0.808 0.500
Ge 0.750 0.750 0.000
Ge 0.808 0.308 0.203

Theoretical powder diffraction line list
Compound: CsAg2Te2S6
Radiation: λ = 1.5418 Å (Cu Kα)
Structure: a crystal structure in Alexandria, relaxed with PBE
Peak positions follow from Bragg's law for the DFT cell and can differ from measured ones.

Largest 8 diffraction maxima, low angle first, 2θ from 10° to 90°:
2θ = 11.4°, I = 100.0; 2θ = 13.7°, I = 41.3; 2θ = 20.7°, I = 78.8; 2θ = 21.5°, I = 84.0; 2θ = 27.6°, I = 43.1; 2θ = 30.2°, I = 42.3; 2θ = 31.9°, I = 37.5; 2θ = 35.7°, I = 42.2

Structure:
a b c (Å): 6.899 7.458 8.456
angles (deg): 67.60 89.31 75.93
Fractional positions:
Cs 0.000 0.000 0.000
Ag 0.462 0.772 0.654
Ag 0.538 0.228 0.346
Te 0.021 0.280 0.421
Te 0.979 0.720 0.579
S 0.217 0.598 0.819
S 0.220 0.513 0.357
S 0.282 0.034 0.350
S 0.718 0.966 0.650
S 0.780 0.487 0.643
S 0.783 0.402 0.181

Theoretical powder diffraction line list
Compound: PrDy7Sc3
Radiation: λ = 1.5418 Å (Cu Kα)
Structure: a crystal structure in Alexandria, relaxed with PBE
Peak positions follow from Bragg's law for the DFT cell and can differ from measured ones.

Largest 8 diffraction maxima, low angle first, 2θ from 10° to 90°:
2θ = 10.7°, I = 32.6; 2θ = 21.5°, I = 14.1; 2θ = 31.5°, I = 100.0; 2θ = 32.5°, I = 25.7; 2θ = 36.9°, I = 60.1; 2θ = 52.5°, I = 20.6; 2θ = 53.8°, I = 27.0; 2θ = 63.1°, I = 22.6

Structure:
a b c (Å): 6.977 6.977 8.259
angles (deg): 90.00 90.00 120.00
Fractional positions:
Pr 0.000 0.000 0.000
Dy 0.002 0.501 0.985
Dy 0.332 0.166 0.343
Dy 0.333 0.667 0.330
Dy 0.499 0.501 0.985
Dy 0.499 0.998 0.985
Dy 0.834 0.166 0.343
Dy 0.834 0.668 0.343
Sc 0.168 0.336 0.662
Sc 0.168 0.832 0.662
Sc 0.664 0.832 0.662